Calculated powder X-ray diffraction pattern of Pm6InAg3 for a wavelength of 1.5418 Å, from DFT lattice parameters and positions (PBE).

Main lines, by angle (2θ from 10° to 80°):
2θ/deg  d_spacing  I/Imax  index
32.6  2.744  94.1  3 1 -1
32.8  2.732  100.0  1 1 3
33.4  2.682  43.9  2 0 -4
34.7  2.586  45.7  0 2 0
44.9  2.020  17.2  4 0 2
48.9  1.862  29.8  2 2 -4
57.9  1.592  16.5  4 2 2
59.1  1.562  11.8  5 1 -5
59.4  1.555  15.4  1 1 -7
60.9  1.521  32.5  1 3 3

abc: 9.729 5.173 11.437
angles: 90.00 103.15 90.00
Space group P2_1/m (No. 11)
Asymmetric unit:
Pm (0.039, 0.250, 0.403)
Pm (0.134, 0.750, 0.189)
Pm (0.244, 0.250, 0.990)
Pm (0.334, 0.750, 0.804)
Pm (0.363, 0.250, 0.295)
Pm (0.404, 0.250, 0.592)
In (0.445, 0.750, 0.117)
Ag (0.037, 0.750, 0.894)
Ag (0.136, 0.250, 0.700)
Ag (0.265, 0.750, 0.470)